1.
Starting from a crystal structure in the Materials Project, relaxed with GGA+U, the powder diffractogram of Rb2UCr2O10 was computed for Cu Kα X-rays.
Intensities are scaled so that the largest is 100.

Atomic structure:
a b c (Å): 8.371 10.732 13.910
angles (deg): 102.57 106.61 93.65
Space group P-1 (No. 2)
Unique sites:
Rb (0.052, 0.308, 0.472) (multiplicity 2)
Rb (0.060, 0.499, 0.833) (multiplicity 2)
Rb (0.372, 0.039, 0.645) (multiplicity 2)
Rb (0.372, 0.237, 0.993) (multiplicity 2)
U (0.173, 0.896, 0.079) (multiplicity 2)
U (0.391, 0.652, 0.445) (multiplicity 2)
Cr (0.118, 0.896, 0.342) (multiplicity 2)
Cr (0.123, 0.857, 0.837) (multiplicity 2)
Cr (0.391, 0.619, 0.156) (multiplicity 2)
Cr (0.391, 0.634, 0.670) (multiplicity 2)
O (0.006, 0.763, 0.050) (multiplicity 2)
O (0.014, 0.252, 0.254) (multiplicity 2)
O (0.031, 0.956, 0.916) (multiplicity 2)
O (0.046, 0.214, 0.709) (multiplicity 2)
O (0.067, 0.022, 0.410) (multiplicity 2)
O (0.182, 0.558, 0.408) (multiplicity 2)
O (0.190, 0.937, 0.249) (multiplicity 2)
O (0.219, 0.558, 0.673) (multiplicity 2)
O (0.238, 0.518, 0.069) (multiplicity 2)
O (0.238, 0.942, 0.792) (multiplicity 2)
O (0.242, 0.789, 0.927) (multiplicity 2)
O (0.276, 0.838, 0.423) (multiplicity 2)
O (0.340, 0.026, 0.104) (multiplicity 2)
O (0.345, 0.751, 0.605) (multiplicity 2)
O (0.371, 0.624, 0.277) (multiplicity 2)
O (0.383, 0.770, 0.136) (multiplicity 2)
O (0.402, 0.252, 0.516) (multiplicity 2)
O (0.430, 0.424, 0.852) (multiplicity 2)
O (0.475, 0.311, 0.216) (multiplicity 2)
O (0.476, 0.538, 0.586) (multiplicity 2)

Peak list (12 most intense, 2θ from 10° to 90°, in order of falling intensity)
hkl 1 1 0, 2θ = 14.92°, intensity 100; hkl 0 3 -1, 2θ = 24.97°, intensity 87; hkl 2 -2 0, 2θ = 26.36°, intensity 82; hkl 0 1 1, 2θ = 12.19°, intensity 77; hkl 0 2 -4, 2θ = 28.73°, intensity 67; hkl 1 0 -1, 2θ = 11.13°, intensity 60; hkl 1 -3 0, 2θ = 26.68°, intensity 56; hkl 2 1 -3, 2θ = 26.13°, intensity 52; hkl 2 1 -1, 2θ = 23.44°, intensity 50; hkl 2 -1 1, 2θ = 25.25°, intensity 49; hkl -1 1 4, 2θ = 29.42°, intensity 44; hkl 0 1 3, 2θ = 24.25°, intensity 40

2.
Starting from a crystal structure in the Materials Project, relaxed with GGA+U, the powder diffractogram of K2MgFe4P6O16F12 was computed for Cu Kα X-rays.
Intensities are scaled so that the largest is 100.

Atomic structure:
a b c (Å): 7.371 7.630 11.285
angles (deg): 102.19 107.84 91.41
Space group P1 (No. 1)
Unique sites:
K (0.000, 0.000, 0.000) (multiplicity 1)
K (0.497, 0.125, 0.671) (multiplicity 1)
Mg (0.886, 0.861, 0.247) (multiplicity 1)
Fe (0.073, 0.704, 0.538) (multiplicity 1)
Fe (0.236, 0.543, 0.861) (multiplicity 1)
Fe (0.386, 0.377, 0.186) (multiplicity 1)
Fe (0.712, 0.121, 0.399) (multiplicity 1)
P (0.039, 0.132, 0.681) (multiplicity 1)
P (0.085, 0.296, 0.351) (multiplicity 1)
P (0.366, 0.789, 0.366) (multiplicity 1)
P (0.462, 0.951, 0.048) (multiplicity 1)
P (0.682, 0.468, 0.027) (multiplicity 1)
P (0.789, 0.630, 0.702) (multiplicity 1)
O (0.014, 0.464, 0.413) (multiplicity 1)
O (0.128, 0.963, 0.636) (multiplicity 1)
O (0.153, 0.304, 0.238) (multiplicity 1)
O (0.193, 0.284, 0.756) (multiplicity 1)
O (0.290, 0.757, 0.471) (multiplicity 1)
O (0.306, 0.800, 0.973) (multiplicity 1)
O (0.372, 0.119, 0.093) (multiplicity 1)
O (0.417, 0.630, 0.284) (multiplicity 1)
O (0.501, 0.958, 0.408) (multiplicity 1)
O (0.547, 0.510, 0.912) (multiplicity 1)
O (0.630, 0.905, 0.151) (multiplicity 1)
O (0.632, 0.428, 0.137) (multiplicity 1)
O (0.837, 0.665, 0.589) (multiplicity 1)
O (0.865, 0.181, 0.584) (multiplicity 1)
O (0.935, 0.603, 0.819) (multiplicity 1)
O (0.938, 0.131, 0.318) (multiplicity 1)
F (0.168, 0.846, 0.259) (multiplicity 1)
F (0.229, 0.626, 0.682) (multiplicity 1)
F (0.232, 0.435, 0.031) (multiplicity 1)
F (0.264, 0.254, 0.460) (multiplicity 1)
F (0.560, 0.002, 0.948) (multiplicity 1)
F (0.561, 0.315, 0.337) (multiplicity 1)
F (0.622, 0.474, 0.651) (multiplicity 1)
F (0.671, 0.789, 0.744) (multiplicity 1)
F (0.809, 0.321, 0.984) (multiplicity 1)
F (0.855, 0.632, 0.091) (multiplicity 1)
F (0.888, 0.797, 0.397) (multiplicity 1)
F (0.945, 0.083, 0.784) (multiplicity 1)

Peak list (12 most intense, 2θ from 10° to 90°, in order of falling intensity)
hkl 0 2 1, 2θ = 27.28°, intensity 100; hkl 1 -1 2, 2θ = 24.72°, intensity 87; hkl 1 1 -3, 2θ = 25.30°, intensity 59; hkl 2 1 -2, 2θ = 27.85°, intensity 55; hkl -2 1 3, 2θ = 33.56°, intensity 41; hkl 2 -1 0, 2θ = 27.19°, intensity 36; hkl 1 0 -1, 2θ = 12.80°, intensity 30; hkl 1 -2 0, 2θ = 26.08°, intensity 24; hkl 0 1 1, 2θ = 16.15°, intensity 22; hkl 0 2 -5, 2θ = 44.56°, intensity 19; hkl 3 1 -4, 2θ = 43.59°, intensity 18; hkl 0 1 -3, 2θ = 25.62°, intensity 18

3.
Starting from a crystal structure in the Materials Project, relaxed with GGA+U, the powder diffractogram of Li4Mn2V3Sb3O16 was computed for Cu Kα X-rays.
Intensities are scaled so that the largest is 100.

Atomic structure:
a b c (Å): 10.702 6.165 10.029
angles (deg): 90.00 90.21 90.00
Space group Cm (No. 8)
Unique sites:
Li (0.000, 0.000, 0.000) (multiplicity 2)
Li (0.003, 0.000, 0.514) (multiplicity 2)
Li (0.166, 0.500, 0.104) (multiplicity 2)
Li (0.330, 0.000, 0.632) (multiplicity 2)
Mn (0.151, 0.500, 0.525) (multiplicity 2)
Mn (0.319, 0.000, 0.988) (multiplicity 2)
V (0.077, 0.254, 0.791) (multiplicity 4)
V (0.162, 0.000, 0.289) (multiplicity 2)
Sb (0.324, 0.500, 0.790) (multiplicity 2)
Sb (0.409, 0.248, 0.289) (multiplicity 4)
O (0.011, 0.500, 0.679) (multiplicity 2)
O (0.068, 0.231, 0.395) (multiplicity 4)
O (0.147, 0.000, 0.896) (multiplicity 2)
O (0.168, 0.500, 0.903) (multiplicity 2)
O (0.238, 0.275, 0.675) (multiplicity 4)
O (0.254, 0.228, 0.182) (multiplicity 4)
O (0.332, 0.000, 0.402) (multiplicity 2)
O (0.341, 0.500, 0.401) (multiplicity 2)
O (0.415, 0.270, 0.903) (multiplicity 4)
O (0.481, 0.000, 0.177) (multiplicity 2)
O (0.487, 0.500, 0.691) (multiplicity 2)
O (0.489, 0.500, 0.184) (multiplicity 2)

Peak list (12 most intense, 2θ from 10° to 90°, in order of falling intensity)
hkl 0 0 2, 2θ = 17.69°, intensity 100; hkl 2 0 -1, 2θ = 18.80°, intensity 85; hkl 4 0 1, 2θ = 34.72°, intensity 50; hkl 2 0 2, 2θ = 24.33°, intensity 42; hkl 2 2 -3, 2θ = 43.29°, intensity 32; hkl 0 2 2, 2θ = 34.10°, intensity 30; hkl 4 0 3, 2θ = 43.40°, intensity 28; hkl 2 2 1, 2θ = 34.77°, intensity 27; hkl 1 1 3, 2θ = 31.56°, intensity 27; hkl 6 2 0, 2θ = 59.92°, intensity 24; hkl 2 0 0, 2θ = 16.57°, intensity 23; hkl 2 2 -5, 2θ = 57.37°, intensity 22

4.
Starting from a crystal structure in the Materials Project, relaxed with GGA+U, the powder diffractogram of K3MgV3O8 was computed for Cu Kα X-rays.
Intensities are scaled so that the largest is 100.

Atomic structure:
a b c (Å): 10.288 5.796 8.339
angles (deg): 90.00 93.04 90.00
Space group C2/m (No. 12)
Unique sites:
K (0.000, 0.000, 0.000) (multiplicity 2)
K (0.194, 0.500, 0.237) (multiplicity 4)
Mg (0.000, 0.500, 0.500) (multiplicity 2)
V (0.000, 0.000, 0.500) (multiplicity 2)
V (0.197, 0.500, 0.732) (multiplicity 4)
O (0.099, 0.262, 0.621) (multiplicity 8)
O (0.136, 0.000, 0.312) (multiplicity 4)
O (0.169, 0.500, 0.934) (multiplicity 4)

Peak list (12 most intense, 2θ from 10° to 90°, in order of falling intensity)
hkl 2 0 -2, 2θ = 26.84°, intensity 100; hkl 3 1 0, 2θ = 30.31°, intensity 89; hkl 0 2 0, 2θ = 30.85°, intensity 73; hkl 2 2 2, 2θ = 42.36°, intensity 68; hkl 0 0 1, 2θ = 10.62°, intensity 57; hkl 2 0 2, 2θ = 28.30°, intensity 44; hkl 1 1 2, 2θ = 28.13°, intensity 35; hkl 0 2 4, 2θ = 54.25°, intensity 33; hkl 2 0 -1, 2θ = 19.82°, intensity 24; hkl 5 1 2, 2θ = 53.16°, intensity 21; hkl 5 1 -2, 2θ = 51.00°, intensity 20; hkl 1 1 1, 2θ = 20.81°, intensity 19